Entry 1:
For Ca2VO5, a DFT-relaxed cell (PBE+U, Alexandria) gives the theoretical powder diffraction line list in this record (Cu Ka).
Neutral-atom scattering factors, no anomalous dispersion.

Crystal structure
```
data_Ca2VO5
_cell_length_a 4.0814
_cell_length_b 11.2796
_cell_length_c 10.2551
_cell_angle_alpha 90.00
_cell_angle_beta 90.00
_cell_angle_gamma 90.00
_symmetry_space_group_name_H-M 'C m c m'
_symmetry_Int_Tables_number 63
_symmetry_space_group_name_Hall '-C 2c 2'
loop_
_atom_site_label
_atom_site_type_symbol
_atom_site_fract_x
_atom_site_fract_y
_atom_site_fract_z
Ca1 Ca 0.0000 0.1429 0.0728
V1 V 0.0000 0.1892 0.7500
O1 O 0.0000 0.0533 0.6429
O2 O 0.0000 0.2809 0.2500
O3 O 0.0000 0.2816 0.6032
```

Principal peaks in the range 10° ≤ 2θ ≤ 80°, in order of rising 2θ:
2theta  intensity  h k l
15.7  85.5  0 2 0
23.2  100.0  1 1 0
24.8  16.9  1 1 1
30.6  83.9  0 2 3
32.4  26.0  1 3 0
35.2  25.7  1 1 3
41.5  38.3  0 4 3
44.4  40.3  2 0 0
53.6  44.5  0 0 6
54.9  27.1  2 2 3
62.4  18.5  2 4 3
64.0  11.9  1 3 6

***

Entry 2:
For CaV4O6, a DFT-relaxed cell (PBE+U, Alexandria) gives the theoretical powder diffraction line list in this record (Cu Ka).
Neutral-atom scattering factors, no anomalous dispersion.

Crystal structure
```
data_CaV4O6
_cell_length_a 10.2948
_cell_length_b 3.0715
_cell_length_c 15.5860
_cell_angle_alpha 90.00
_cell_angle_beta 90.32
_cell_angle_gamma 90.00
_symmetry_space_group_name_H-M 'C 1 m 1'
_symmetry_Int_Tables_number 8
loop_
_symmetry_equiv_pos_as_xyz
'x,y,z'
'x,-y,z'
'x+1/2,y+1/2,z'
'x+1/2,-y+1/2,z'
loop_
_atom_site_label
_atom_site_type_symbol
_atom_site_fract_x
_atom_site_fract_y
_atom_site_fract_z
Ca1 Ca 0.0000 0.0000 0.0000
Ca2 Ca 0.2069 0.5000 0.4982
V1 V 0.2212 0.0000 0.2938
V2 V 0.2228 0.0000 0.7029
V3 V 0.2505 0.5000 0.1115
V4 V 0.2543 0.5000 0.8827
V5 V 0.4541 0.5000 0.3844
V6 V 0.4553 0.5000 0.6127
V7 V 0.4882 0.0000 0.2059
V8 V 0.4919 0.0000 0.7926
O1 O 0.0376 0.0000 0.4987
O2 O 0.0785 0.5000 0.3351
O3 O 0.0793 0.5000 0.6628
O4 O 0.1296 0.0000 0.8287
O5 O 0.1305 0.0000 0.1661
O6 O 0.1677 0.5000 0.0019
O7 O 0.3280 0.0000 0.4089
O8 O 0.3289 0.0000 0.5882
O9 O 0.3592 0.5000 0.2546
O10 O 0.3637 0.5000 0.7429
O11 O 0.3791 0.0000 0.0918
O12 O 0.3876 0.0000 0.9062
```

Principal peaks in the range 10° ≤ 2θ ≤ 80°, in order of rising 2θ:
2theta  intensity  h k l
32.5  38.9  1 1 -2
33.5  66.5  2 0 -5
33.7  65.8  2 0 5
34.9  34.2  4 0 0
35.0  33.9  1 1 3
39.8  36.9  3 1 1
41.1  100.0  3 1 2
43.1  36.3  3 1 -3
43.3  33.2  3 1 3
56.6  27.3  1 1 -8
56.7  26.4  1 1 8
60.3  29.2  0 2 0

***

Entry 3:
For CaV2O5, a DFT-relaxed cell (PBE+U, Alexandria) gives the theoretical powder diffraction line list in this record (Cu Ka).
Neutral-atom scattering factors, no anomalous dispersion.

Crystal structure
```
data_CaV2O5
_cell_length_a 3.6095
_cell_length_b 11.5739
_cell_length_c 5.0793
_cell_angle_alpha 90.00
_cell_angle_beta 90.00
_cell_angle_gamma 90.00
_symmetry_space_group_name_H-M 'P m m n'
_symmetry_Int_Tables_number 59
loop_
_symmetry_equiv_pos_as_xyz
'x,y,z'
'-x,-y,-z'
'-x+1/2,-y+1/2,z'
'x+1/2,y+1/2,-z'
'x+1/2,-y,-z'
'-x+1/2,y,z'
'-x,y+1/2,-z'
'x,-y+1/2,z'
loop_
_atom_site_label
_atom_site_type_symbol
_atom_site_fract_x
_atom_site_fract_y
_atom_site_fract_z
Ca1 Ca 0.2500 0.2500 0.1469
V1 V 0.2500 0.5976 0.3953
O1 O 0.2500 0.0742 0.4573
O2 O 0.2500 0.6274 0.0698
O3 O 0.2500 0.7500 0.5586
```

Principal peaks in the range 10° ≤ 2θ ≤ 80°, in order of rising 2θ:
2theta  intensity  h k l
17.5  85.9  0 0 1
23.3  52.1  0 2 1
25.9  21.8  1 1 0
29.1  89.1  0 3 1
30.4  100.0  1 0 1
31.4  36.4  1 1 1
34.0  71.7  1 3 0
46.5  39.1  1 2 2
47.1  30.7  0 6 0
50.6  52.7  2 0 0
54.4  30.4  1 4 2
60.4  22.2  1 0 3

***

Entry 4:
For CaV4O10, a DFT-relaxed cell (PBE+U, Alexandria) gives the theoretical powder diffraction line list in this record (Cu Ka).
Neutral-atom scattering factors, no anomalous dispersion.

Crystal structure
```
data_CaV4O10
_cell_length_a 11.3683
_cell_length_b 3.7101
_cell_length_c 11.2315
_cell_angle_alpha 90.00
_cell_angle_beta 90.00
_cell_angle_gamma 90.00
_symmetry_space_group_name_H-M 'A m m 2'
_symmetry_Int_Tables_number 38
loop_
_symmetry_equiv_pos_as_xyz
'x,y,z'
'-x,-y,z'
'-x,y,z'
'x,-y,z'
'x,y+1/2,z+1/2'
'-x,-y+1/2,z+1/2'
'-x,y+1/2,z+1/2'
'x,-y+1/2,z+1/2'
loop_
_atom_site_label
_atom_site_type_symbol
_atom_site_fract_x
_atom_site_fract_y
_atom_site_fract_z
Ca1 Ca 0.0000 0.0000 0.0000
V1 V 0.1538 0.0000 0.3014
V2 V 0.3512 0.0000 0.8928
O1 O 0.0000 0.0000 0.3854
O2 O 0.1319 0.0000 0.1547
O3 O 0.1768 0.0000 0.8609
O4 O 0.3212 0.0000 0.3503
O5 O 0.3653 0.0000 0.0347
O6 O 0.5000 0.0000 0.8342
```

Principal peaks in the range 10° ≤ 2θ ≤ 80°, in order of rising 2θ:
2theta  intensity  h k l
15.8  100.0  0 0 2
22.3  13.9  2 0 2
25.3  33.1  0 1 1
26.5  31.3  1 1 1
28.4  36.1  3 0 2
31.5  10.3  4 0 0
31.9  7.8  0 0 4
34.0  10.6  0 1 3
34.8  20.3  3 1 1
48.0  12.1  6 0 0
49.1  15.4  0 2 0
57.9  9.4  4 1 5

***

Entry 5:
For Ca2V3O8, a DFT-relaxed cell (PBE+U, Alexandria) gives the theoretical powder diffraction line list in this record (Cu Ka).
Neutral-atom scattering factors, no anomalous dispersion.

Crystal structure
```
data_Ca2V3O8
_cell_length_a 6.0679
_cell_length_b 6.0679
_cell_length_c 10.5663
_cell_angle_alpha 90.00
_cell_angle_beta 90.00
_cell_angle_gamma 120.00
_symmetry_space_group_name_H-M 'P 63'
_symmetry_Int_Tables_number 173
loop_
_symmetry_equiv_pos_as_xyz
'x,y,z'
'x-y,x,z+1/2'
'-y,x-y,z'
'-x,-y,z+1/2'
'-x+y,-x,z'
'y,-x+y,z+1/2'
loop_
_atom_site_label
_atom_site_type_symbol
_atom_site_fract_x
_atom_site_fract_y
_atom_site_fract_z
Ca1 Ca 0.3333 0.6667 0.0000
Ca2 Ca 0.3333 0.6667 0.4073
V1 V 0.1602 0.3267 0.6857
O1 O 0.0000 0.0000 0.0868
O2 O 0.0459 0.5383 0.5825
O3 O 0.1392 0.8290 0.2766
O4 O 0.3333 0.6667 0.7863
```

Principal peaks in the range 10° ≤ 2θ ≤ 80°, in order of rising 2θ:
2theta  intensity  h k l
16.8  99.5  0 0 2
18.9  24.8  1 0 1
23.9  66.5  1 0 2
30.6  58.6  1 0 3
34.1  100.0  1 1 2
35.2  58.2  2 0 1
38.3  30.0  2 0 2
42.9  34.8  2 0 3
48.9  31.2  2 0 4
52.9  33.8  1 2 3
55.8  67.9  2 0 5
61.1  47.4  2 2 0

***

Entry 6:
For CaV4O10, a DFT-relaxed cell (PBE+U, Alexandria) gives the theoretical powder diffraction line list in this record (Cu Ka).
Neutral-atom scattering factors, no anomalous dispersion.

Crystal structure
```
data_CaV4O10
_cell_length_a 3.6299
_cell_length_b 11.4839
_cell_length_c 5.0174
_cell_angle_alpha 90.00
_cell_angle_beta 90.00
_cell_angle_gamma 90.00
_symmetry_space_group_name_H-M 'P m m 2'
_symmetry_Int_Tables_number 25
loop_
_symmetry_equiv_pos_as_xyz
'x,y,z'
'-x,-y,z'
'-x,y,z'
'x,-y,z'
loop_
_atom_site_label
_atom_site_type_symbol
_atom_site_fract_x
_atom_site_fract_y
_atom_site_fract_z
Ca1 Ca 0.0000 0.0000 0.0000
V1 V 0.0000 0.3495 0.2377
V2 V 0.5000 0.1536 0.4604
O1 O 0.0000 0.1765 0.3217
O2 O 0.0000 0.3531 0.9171
O3 O 0.0000 0.5000 0.3436
O4 O 0.5000 0.0000 0.2985
O5 O 0.5000 0.1238 0.7897
O6 O 0.5000 0.3212 0.3470
```

Principal peaks in the range 10° ≤ 2θ ≤ 80°, in order of rising 2θ:
2theta  intensity  h k l
17.7  100.0  0 0 1
19.3  18.4  0 1 1
23.5  22.3  0 2 1
25.7  38.6  1 1 0
29.3  59.5  0 3 1
30.4  59.6  1 0 1
31.2  19.1  0 4 0
31.4  19.5  1 1 1
34.0  42.5  1 3 0
47.5  21.8  0 6 0
50.3  31.4  2 0 0
59.3  15.1  2 3 1

***

Entry 7:
For CaV3O7, a DFT-relaxed cell (PBE+U, Alexandria) gives the theoretical powder diffraction line list in this record (Cu Ka).
Neutral-atom scattering factors, no anomalous dispersion.

Crystal structure
```
data_CaV3O7
_cell_length_a 10.8816
_cell_length_b 10.4572
_cell_length_c 5.3812
_cell_angle_alpha 90.00
_cell_angle_beta 90.00
_cell_angle_gamma 90.00
_symmetry_space_group_name_H-M 'P n m a'
_symmetry_Int_Tables_number 62
loop_
_symmetry_equiv_pos_as_xyz
'x,y,z'
'-x,-y,-z'
'-x+1/2,-y,z+1/2'
'x+1/2,y,-z+1/2'
'x+1/2,-y+1/2,-z+1/2'
'-x+1/2,y+1/2,z+1/2'
'-x,y+1/2,-z'
'x,-y+1/2,z'
loop_
_atom_site_label
_atom_site_type_symbol
_atom_site_fract_x
_atom_site_fract_y
_atom_site_fract_z
Ca1 Ca 0.0788 0.2500 0.1804
V1 V 0.1880 0.5241 0.6983
V2 V 0.2164 0.7500 0.1901
O1 O 0.0448 0.5774 0.7170
O2 O 0.0641 0.7500 0.1754
O3 O 0.2171 0.1187 0.4573
O4 O 0.2218 0.1192 0.9326
```

Principal peaks in the range 10° ≤ 2θ ≤ 80°, in order of rising 2θ:
2theta  intensity  h k l
16.3  79.3  2 0 0
23.6  9.8  2 2 0
24.8  28.8  2 1 1
25.1  14.2  1 2 1
28.9  100.0  2 2 1
30.6  20.8  0 3 1
33.3  16.1  0 0 2
34.3  23.0  0 4 0
48.6  17.4  0 4 2
49.3  20.2  1 4 2
51.6  11.4  2 4 2
56.4  14.1  6 2 1

***

Entry 8:
For Ca3V2O7, a DFT-relaxed cell (PBE+U, Alexandria) gives the theoretical powder diffraction line list in this record (Cu Ka).
Neutral-atom scattering factors, no anomalous dispersion.

Crystal structure
```
data_Ca3V2O7
_cell_length_a 19.0536
_cell_length_b 5.4759
_cell_length_c 5.5587
_cell_angle_alpha 90.00
_cell_angle_beta 90.00
_cell_angle_gamma 90.00
_symmetry_space_group_name_H-M 'C m c 21'
_symmetry_Int_Tables_number 36
loop_
_symmetry_equiv_pos_as_xyz
'x,y,z'
'-x,-y,z+1/2'
'-x,y,z'
'x,-y,z+1/2'
'x+1/2,y+1/2,z'
'-x+1/2,-y+1/2,z+1/2'
'-x+1/2,y+1/2,z'
'x+1/2,-y+1/2,z+1/2'
loop_
_atom_site_label
_atom_site_type_symbol
_atom_site_fract_x
_atom_site_fract_y
_atom_site_fract_z
Ca1 Ca 0.0000 0.2401 0.0000
Ca2 Ca 0.1848 0.2428 0.0842
V1 V 0.0998 0.2503 0.5457
O1 O 0.0000 0.3240 0.5584
O2 O 0.0832 0.0383 0.2540
O3 O 0.1130 0.4606 0.8299
O4 O 0.1969 0.1808 0.5210
```

Principal peaks in the range 10° ≤ 2θ ≤ 80°, in order of rising 2θ:
2theta  intensity  h k l
18.6  19.6  4 0 0
32.2  38.7  0 0 2
32.7  36.6  0 2 0
32.9  100.0  5 1 1
46.6  52.3  0 2 2
47.7  21.9  10 0 0
49.0  11.5  9 1 1
57.8  15.5  5 1 3
58.5  26.5  5 3 1
58.8  10.7  10 0 2
59.1  10.2  10 2 0
68.9  18.1  10 2 2

***

Entry 9:
For CaV6O23, a DFT-relaxed cell (PBE+U, Alexandria) gives the theoretical powder diffraction line list in this record (Cu Ka).
Neutral-atom scattering factors, no anomalous dispersion.

Crystal structure
```
data_CaV6O23
_cell_length_a 9.9344
_cell_length_b 3.6612
_cell_length_c 12.4947
_cell_angle_alpha 90.00
_cell_angle_beta 102.51
_cell_angle_gamma 90.00
_symmetry_space_group_name_H-M 'P 1 m 1'
_symmetry_Int_Tables_number 6
loop_
_symmetry_equiv_pos_as_xyz
'x,y,z'
'x,-y,z'
loop_
_atom_site_label
_atom_site_type_symbol
_atom_site_fract_x
_atom_site_fract_y
_atom_site_fract_z
Ca1 Ca 0.0000 0.0000 0.0000
V1 V 0.1371 0.0000 0.2760
V2 V 0.1950 0.5000 0.8948
V3 V 0.2168 0.0000 0.5374
V4 V 0.3340 0.5000 0.1579
V5 V 0.3856 0.0000 0.7880
V6 V 0.4073 0.5000 0.4155
O1 O 0.0320 0.5000 0.8291
O2 O 0.0826 0.0000 0.3991
O3 O 0.1110 0.0000 0.6189
O4 O 0.1504 0.5000 0.0296
O5 O 0.1917 0.5000 0.2761
O6 O 0.2428 0.0000 0.8949
O7 O 0.2599 0.5000 0.5121
O8 O 0.2780 0.0000 0.1698
O9 O 0.3256 0.5000 0.7989
O10 O 0.3505 0.0000 0.4044
O11 O 0.3877 0.0000 0.6494
O12 O 0.4217 0.5000 0.0615
O13 O 0.4629 0.5000 0.2845
O14 O 0.5449 0.0000 0.8523
O15 O 0.5512 0.5000 0.5058
O16 O 0.7013 0.0000 0.2277
O17 O 0.7146 0.5000 0.0182
O18 O 0.7559 0.0000 0.3258
O19 O 0.7707 0.0000 0.6980
O20 O 0.7874 0.5000 0.5354
O21 O 0.7971 0.0000 0.6073
O22 O 0.8184 0.5000 0.9755
O23 O 0.9932 0.0000 0.1767
```

Principal peaks in the range 10° ≤ 2θ ≤ 80°, in order of rising 2θ:
2theta  intensity  h k l
10.4  45.9  1 0 -1
18.3  34.7  2 0 0
25.4  30.9  2 0 -3
25.5  65.0  1 0 3
26.5  80.4  1 1 -1
30.5  100.0  2 1 -1
31.6  40.3  2 0 3
37.5  30.6  2 0 -5
39.2  35.3  3 0 3
41.2  32.8  3 0 -5
49.8  47.2  0 2 0
64.0  23.2  2 2 -5

***

Entry 10:
For Ca2VO4, a DFT-relaxed cell (PBE+U, Alexandria) gives the theoretical powder diffraction line list in this record (Cu Ka).
Neutral-atom scattering factors, no anomalous dispersion.

Crystal structure
```
data_Ca2VO4
_cell_length_a 7.8486
_cell_length_b 7.8486
_cell_length_c 7.0156
_cell_angle_alpha 90.00
_cell_angle_beta 90.00
_cell_angle_gamma 90.00
_symmetry_space_group_name_H-M 'I -4 2 d'
_symmetry_Int_Tables_number 122
_symmetry_space_group_name_Hall 'I -4 2bw'
loop_
_atom_site_label
_atom_site_type_symbol
_atom_site_fract_x
_atom_site_fract_y
_atom_site_fract_z
Ca1 Ca 0.2110 0.7500 0.1250
V1 V 0.0000 0.0000 0.5000
O1 O 0.0404 0.7066 0.8637
```

Principal peaks in the range 10° ≤ 2θ ≤ 80°, in order of rising 2θ:
2theta  intensity  h k l
17.0  79.5  1 0 1
28.4  100.0  2 1 1
30.1  93.6  1 1 2
32.3  30.0  2 2 0
34.3  25.2  2 0 2
44.7  81.4  3 1 2
46.3  39.5  4 0 0
56.2  19.7  3 3 2
57.6  29.8  2 0 4
57.9  21.9  3 2 3
65.4  25.1  5 2 1
76.8  23.6  4 2 4